Structure and theoretical PXRD pattern of V3O5F (DFT lattice parameters and positions (PBE+U); λ = 1.5418 Å (Cu Kα)).

Atomic structure:
abc: 3.046 4.622 13.849
angles: 90.00 90.00 90.00
Space group Pmn2_1 (No. 31)
Symmetry-distinct sites (fractional):
V: 0.000 0.203 0.000 [2 per cell]
V: 0.000 0.213 0.314 [2 per cell]
V: 0.000 0.290 0.657 [2 per cell]
O: 0.000 0.512 0.226 [2 per cell]
O: 0.000 0.578 0.551 [2 per cell]
O: 0.000 0.926 0.089 [2 per cell]
O: 0.000 0.954 0.421 [2 per cell]
O: 0.000 0.973 0.757 [2 per cell]
F: 0.000 0.562 0.887 [2 per cell]

Top 12 peaks for 10° ≤ 2θ ≤ 90°, most intense first:
2θ (°)	Rel. int.
27.3	100
35.3	54
53.6	54
40.5	22
68.3	17
56.3	15
67.9	12
60.8	10
87.6	7
43.8	7
63.7	6
39.0	5